For LaAgH6Pd, a PBE-relaxed structure gives the computed XRD peak list in this record (Cu Kα (λ = 1.5418 Å)).

Atomic structure:
```
9
Lattice="4.8014 0.0000 0.0000 -2.4007 4.1582 0.0000 0.0000 0.0000 4.5147" Properties=species:S:1:pos:R:3 pbc="T T T"
La 0.0000 0.0000 0.0000
Ag 0.0000 2.7721 2.2574
H 2.4007 0.0891 1.0094
H 2.4007 0.0891 3.5053
H 1.2775 2.0345 1.0094
H 1.2775 2.0345 3.5053
H 3.5239 2.0345 1.0094
H 3.5239 2.0345 3.5053
Pd 2.4007 1.3861 2.2574
```

Largest 6 diffraction maxima, by angle, 5° ≤ 2θ ≤ 70°:
2θ = 29.20°, d = 3.059 Å, I 100, (1 0 1)
2θ = 37.46°, d = 2.401 Å, I 53, (1 1 0)
2θ = 39.94°, d = 2.257 Å, I 14, (0 0 2)
2θ = 48.19°, d = 1.888 Å, I 25, (2 0 1)
2θ = 55.91°, d = 1.645 Å, I 33, (1 1 2)
2θ = 62.58°, d = 1.484 Å, I 22, (2 1 1)

For LaAgH6Pd4, a PBE-relaxed structure gives the computed XRD peak list in this record (Cu Kα (λ = 1.5418 Å)).

Atomic structure:
```
12
Lattice="4.8338 0.0000 0.0000 -2.4169 4.1862 0.0000 0.0000 0.0000 6.8157" Properties=species:S:1:pos:R:3 pbc="T T T"
La 0.0000 0.0000 0.0000
Ag 0.0000 0.0000 3.4079
H -1.2085 2.0931 1.0302
H -1.2085 2.0931 5.7855
H 2.4169 0.0000 1.0302
H 2.4169 0.0000 5.7855
H 1.2085 2.0931 1.0302
H 1.2085 2.0931 5.7855
Pd 0.0000 2.7908 2.0609
Pd 0.0000 2.7908 4.7548
Pd 2.4169 1.3954 2.0609
Pd 2.4169 1.3954 4.7548
```

Largest 6 diffraction maxima, by angle, 5° ≤ 2θ ≤ 70°:
2θ = 33.92°, d = 2.643 Å, I 99, (1 0 2)
2θ = 37.20°, d = 2.417 Å, I 100, (1 1 0)
2θ = 51.22°, d = 1.784 Å, I 30, (2 0 2)
2θ = 55.51°, d = 1.655 Å, I 20, (1 1 3)
2θ = 64.99°, d = 1.435 Å, I 29, (2 1 2)
2θ = 67.07°, d = 1.395 Å, I 17, (3 0 0)

For LaAgH6Rh, a PBE-relaxed structure gives the computed XRD peak list in this record (Cu Kα (λ = 1.5418 Å)).

Atomic structure:
```
9
Lattice="4.8364 0.0000 0.0000 -2.4182 4.1885 0.0000 0.0000 0.0000 4.4416" Properties=species:S:1:pos:R:3 pbc="T T T"
La 0.0000 0.0000 0.0000
Ag 0.0000 2.7923 2.2208
H 2.4182 0.1551 1.0290
H 2.4182 0.1551 3.4126
H 1.3435 2.0167 1.0290
H 1.3435 2.0167 3.4126
H 3.4930 2.0167 1.0290
H 3.4930 2.0167 3.4126
Rh 2.4182 1.3962 2.2208
```

Largest 6 diffraction maxima, by angle, 5° ≤ 2θ ≤ 70°:
2θ = 29.31°, d = 3.047 Å, I 100, (1 0 1)
2θ = 37.18°, d = 2.418 Å, I 54, (1 1 0)
2θ = 48.03°, d = 1.894 Å, I 25, (2 0 1)
2θ = 56.24°, d = 1.636 Å, I 33, (1 1 2)
2θ = 62.26°, d = 1.491 Å, I 23, (2 1 1)
2θ = 67.04°, d = 1.396 Å, I 18, (3 0 0)

For LaAgH6Ru, a PBE-relaxed structure gives the computed XRD peak list in this record (Cu Kα (λ = 1.5418 Å)).

Atomic structure:
```
9
Lattice="4.8771 0.0000 0.0000 -2.4385 4.2237 0.0000 0.0000 0.0000 4.4067" Properties=species:S:1:pos:R:3 pbc="T T T"
La 0.0000 0.0000 0.0000
Ag 0.0000 2.8158 2.2033
H 2.4385 0.1895 1.0056
H 2.4385 0.1895 3.4011
H 1.3834 2.0171 1.0056
H 1.3834 2.0171 3.4011
H 3.4937 2.0171 1.0056
H 3.4937 2.0171 3.4011
Ru 2.4385 1.4079 2.2033
```

Largest 6 diffraction maxima, by angle, 5° ≤ 2θ ≤ 70°:
2θ = 29.29°, d = 3.049 Å, I 100, (1 0 1)
2θ = 36.86°, d = 2.439 Å, I 55, (1 1 0)
2θ = 40.96°, d = 2.203 Å, I 13, (0 0 2)
2θ = 47.76°, d = 1.904 Å, I 26, (2 0 1)
2θ = 56.27°, d = 1.635 Å, I 32, (1 1 2)
2θ = 61.81°, d = 1.501 Å, I 23, (2 1 1)